No. 1
# Ba5Cd5Pd2
Computed PXRD pattern, CuKα. Input: a cell relaxed with GGA-PBE.
Intensities are scaled so that the largest is 100.

The 12 most intense peaks (2θ from 10° to 90°), most intense first:
- hkl 3 1 0, 27.23°, I 100
- hkl 5 1 -4, 34.39°, I 77
- hkl 2 0 -4, 29.01°, I 48
- hkl 1 1 2, 29.66°, I 47
- hkl 6 0 -2, 30.55°, I 46
- hkl 0 2 0, 38.26°, I 45
- hkl 1 1 -3, 29.96°, I 39
- hkl 4 2 2, 57.10°, I 36
- hkl 4 0 2, 40.66°, I 29
- hkl 9 1 -2, 53.80°, I 27
- hkl 6 2 -2, 49.73°, I 23
- hkl 2 2 -4, 48.72°, I 23

Cell and atoms:
```
data_Ba5Cd5Pd2
_chemical_formula_sum 'Ba10 Cd10 Pd4'
_space_group_name_H-M_alt 'C 1 2/m 1'
_space_group_IT_number 12
_cell_length_a 18.1641
_cell_length_b 4.7047
_cell_length_c 13.2142
_cell_angle_alpha 90.00
_cell_angle_beta 131.13
_cell_angle_gamma 90.00
loop_
_space_group_symop_operation_xyz
'x,y,z'
'-x,-y,-z'
'-x,y,-z'
'x,-y,z'
'x+1/2,y+1/2,z'
'-x+1/2,-y+1/2,-z'
'-x+1/2,y+1/2,-z'
'x+1/2,-y+1/2,z'
loop_
_atom_site_label
_atom_site_type_symbol
_atom_site_fract_x
_atom_site_fract_y
_atom_site_fract_z
Ba1 Ba 0.0000 0.0000 0.0000
Ba2 Ba 0.1176 0.5000 0.8135
Ba3 Ba 0.1994 0.5000 0.5843
Cd1 Cd 0.0000 0.0000 0.5000
Cd2 Cd 0.0665 0.0000 0.3213
Cd3 Cd 0.2090 0.5000 0.1558
Pd1 Pd 0.1142 0.5000 0.2614
```

No. 2
# Ba4CdPd3
Computed PXRD pattern, CuKα. Input: a cell relaxed with GGA-PBE.
Intensities are scaled so that the largest is 100.

The 12 most intense peaks (2θ from 10° to 90°), most intense first:
- hkl 1 1 1, 27.84°, I 100
- hkl 1 1 3, 34.82°, I 73
- hkl 1 0 3, 29.28°, I 45
- hkl 0 2 0, 37.35°, I 32
- hkl 0 1 4, 34.71°, I 31
- hkl 1 2 3, 48.13°, I 31
- hkl 2 0 0, 39.30°, I 27
- hkl 2 2 0, 55.34°, I 20
- hkl 2 1 4, 53.42°, I 19
- hkl 0 0 4, 29.15°, I 17
- hkl 1 2 7, 69.48°, I 16
- hkl 1 3 3, 65.72°, I 16

Cell and atoms:
```
data_Ba4CdPd3
_chemical_formula_sum 'Ba4 Cd1 Pd3'
_space_group_name_H-M_alt 'P m m 2'
_space_group_IT_number 25
_cell_length_a 4.5846
_cell_length_b 4.8157
_cell_length_c 12.2533
_cell_angle_alpha 90.00
_cell_angle_beta 90.00
_cell_angle_gamma 90.00
loop_
_space_group_symop_operation_xyz
'x,y,z'
'-x,-y,z'
'-x,y,z'
'x,-y,z'
loop_
_atom_site_label
_atom_site_type_symbol
_atom_site_fract_x
_atom_site_fract_y
_atom_site_fract_z
Ba1 Ba 0.0000 0.0000 0.0000
Ba2 Ba 0.0000 0.5000 0.2572
Ba3 Ba 0.5000 0.0000 0.4696
Ba4 Ba 0.5000 0.5000 0.7706
Cd1 Cd 0.0000 0.0000 0.6836
Pd1 Pd 0.0000 0.5000 0.5597
Pd2 Pd 0.5000 0.0000 0.1971
Pd3 Pd 0.5000 0.5000 0.0575
```

No. 3
# Ba12CdPd6
Computed PXRD pattern, CuKα. Input: a cell relaxed with GGA-PBE.
Intensities are scaled so that the largest is 100.

The 12 most intense peaks (2θ from 10° to 90°), most intense first:
- hkl 3 1 2, 28.75°, I 100
- hkl 5 0 1, 39.55°, I 36
- hkl 5 3 0, 45.52°, I 24
- hkl 2 2 2, 26.58°, I 23
- hkl 5 2 3, 48.29°, I 22
- hkl 3 0 1, 24.22°, I 19
- hkl 6 0 0, 46.92°, I 17
- hkl 8 3 1, 69.61°, I 17
- hkl 6 6 0, 68.53°, I 15
- hkl 5 4 3, 55.96°, I 15
- hkl 6 5 3, 67.44°, I 12
- hkl 3 3 0, 32.70°, I 12

Cell and atoms:
```
data_Ba12CdPd6
_chemical_formula_sum 'Ba24 Cd2 Pd12'
_space_group_name_H-M_alt 'I m -3'
_space_group_IT_number 204
_space_group_name_Hall '-I 2 2 3'
_cell_length_a 11.6183
_cell_length_b 11.6183
_cell_length_c 11.6183
_cell_angle_alpha 90.00
_cell_angle_beta 90.00
_cell_angle_gamma 90.00
loop_
_atom_site_label
_atom_site_type_symbol
_atom_site_fract_x
_atom_site_fract_y
_atom_site_fract_z
Ba1 Ba 0.0000 0.3134 0.1819
Cd1 Cd 0.0000 0.0000 0.0000
Pd1 Pd 0.0000 0.1193 0.5000
```

No. 4
# Ba9CdPd3
Computed PXRD pattern, CuKα. Input: a cell relaxed with GGA-PBE.
Intensities are scaled so that the largest is 100.

The 12 most intense peaks (2θ from 10° to 90°), most intense first:
- hkl 1 3 0, 24.84°, I 100
- hkl 3 2 1, 38.19°, I 49
- hkl 2 1 1, 25.04°, I 32
- hkl 1 1 3, 25.14°, I 30
- hkl 2 1 -2, 25.94°, I 28
- hkl 1 0 3, 23.97°, I 25
- hkl 3 3 -2, 41.85°, I 20
- hkl 0 2 0, 14.72°, I 20
- hkl 1 0 -5, 34.58°, I 19
- hkl 1 2 3, 28.28°, I 19
- hkl 0 4 0, 29.69°, I 18
- hkl 2 3 -5, 45.18°, I 18

Cell and atoms:
```
data_Ba9CdPd3
_chemical_formula_sum 'Ba18 Cd2 Pd6'
_space_group_name_H-M_alt 'P 1 21/m 1'
_space_group_IT_number 11
_cell_length_a 8.0280
_cell_length_b 12.0372
_cell_length_c 13.3080
_cell_angle_alpha 90.00
_cell_angle_beta 95.84
_cell_angle_gamma 90.00
loop_
_space_group_symop_operation_xyz
'x,y,z'
'-x,-y,-z'
'-x,y+1/2,-z'
'x,-y+1/2,z'
loop_
_atom_site_label
_atom_site_type_symbol
_atom_site_fract_x
_atom_site_fract_y
_atom_site_fract_z
Ba1 Ba 0.0813 0.2500 0.2001
Ba2 Ba 0.1544 0.5690 0.3789
Ba3 Ba 0.2035 0.2500 0.8544
Ba4 Ba 0.2528 0.5540 0.0422
Ba5 Ba 0.3576 0.2500 0.5256
Ba6 Ba 0.3579 0.5670 0.7075
Cd1 Cd 0.4717 0.2500 0.0874
Pd1 Pd 0.0516 0.0038 0.8289
Pd2 Pd 0.5000 0.0000 0.5000
```

No. 5
# Ba5CdPd2
Computed PXRD pattern, CuKα. Input: a cell relaxed with GGA-PBE.
Intensities are scaled so that the largest is 100.

The 12 most intense peaks (2θ from 10° to 90°), most intense first:
- hkl 2 1 3, 27.95°, I 100
- hkl 3 1 0, 32.19°, I 59
- hkl 2 0 4, 29.80°, I 51
- hkl 2 1 5, 35.65°, I 29
- hkl 3 1 8, 55.72°, I 22
- hkl 3 3 4, 49.27°, I 20
- hkl 1 1 4, 26.04°, I 18
- hkl 0 0 2, 10.79°, I 17
- hkl 2 2 0, 28.72°, I 16
- hkl 0 0 8, 44.19°, I 15
- hkl 5 1 4, 58.03°, I 14
- hkl 4 1 3, 45.67°, I 12

Cell and atoms:
```
data_Ba5CdPd2
_chemical_formula_sum 'Ba20 Cd4 Pd8'
_space_group_name_H-M_alt 'I 4/m c m'
_space_group_IT_number 140
_space_group_name_Hall '-I 4 2c'
_cell_length_a 8.7927
_cell_length_b 8.7927
_cell_length_c 16.3955
_cell_angle_alpha 90.00
_cell_angle_beta 90.00
_cell_angle_gamma 90.00
loop_
_atom_site_label
_atom_site_type_symbol
_atom_site_fract_x
_atom_site_fract_y
_atom_site_fract_z
Ba1 Ba 0.0000 0.0000 0.0000
Ba2 Ba 0.1678 0.3322 0.1334
Cd1 Cd 0.0000 0.0000 0.2500
Pd1 Pd 0.1229 0.3771 0.5000
```

No. 6
# Ba3Cd3Pd
Computed PXRD pattern, CuKα. Input: a cell relaxed with GGA-PBE.
Intensities are scaled so that the largest is 100.

The 12 most intense peaks (2θ from 10° to 90°), most intense first:
- hkl 3 1 -1, 28.93°, I 100
- hkl 1 1 -4, 27.94°, I 87
- hkl 3 1 2, 33.39°, I 83
- hkl 0 2 0, 39.33°, I 61
- hkl 1 1 3, 27.17°, I 61
- hkl 0 0 6, 31.20°, I 50
- hkl 3 1 -4, 32.52°, I 46
- hkl 4 0 -5, 33.74°, I 45
- hkl 4 0 -2, 28.59°, I 37
- hkl 7 1 -3, 55.06°, I 35
- hkl 2 0 -1, 14.17°, I 34
- hkl 3 1 5, 43.75°, I 34

Cell and atoms:
```
data_Ba3Cd3Pd
_chemical_formula_sum 'Ba12 Cd12 Pd4'
_space_group_name_H-M_alt 'C 1 2/m 1'
_space_group_IT_number 12
_cell_length_a 12.5400
_cell_length_b 4.5814
_cell_length_c 17.8848
_cell_angle_alpha 90.00
_cell_angle_beta 105.89
_cell_angle_gamma 90.00
loop_
_space_group_symop_operation_xyz
'x,y,z'
'-x,-y,-z'
'-x,y,-z'
'x,-y,z'
'x+1/2,y+1/2,z'
'-x+1/2,-y+1/2,-z'
'-x+1/2,y+1/2,-z'
'x+1/2,-y+1/2,z'
loop_
_atom_site_label
_atom_site_type_symbol
_atom_site_fract_x
_atom_site_fract_y
_atom_site_fract_z
Ba1 Ba 0.0164 0.0000 0.3924
Ba2 Ba 0.1093 0.0000 0.9200
Ba3 Ba 0.2403 0.0000 0.2460
Cd1 Cd 0.0293 0.5000 0.2391
Cd2 Cd 0.1032 0.5000 0.0806
Cd3 Cd 0.1822 0.5000 0.5370
Pd1 Pd 0.2117 0.5000 0.3786
```

Repeat the third record exactly.
# Ba12CdPd6
Computed PXRD pattern, CuKα. Input: a cell relaxed with GGA-PBE.
Intensities are scaled so that the largest is 100.

The 12 most intense peaks (2θ from 10° to 90°), most intense first:
- hkl 3 1 2, 28.75°, I 100
- hkl 5 0 1, 39.55°, I 36
- hkl 5 3 0, 45.52°, I 24
- hkl 2 2 2, 26.58°, I 23
- hkl 5 2 3, 48.29°, I 22
- hkl 3 0 1, 24.22°, I 19
- hkl 6 0 0, 46.92°, I 17
- hkl 8 3 1, 69.61°, I 17
- hkl 6 6 0, 68.53°, I 15
- hkl 5 4 3, 55.96°, I 15
- hkl 6 5 3, 67.44°, I 12
- hkl 3 3 0, 32.70°, I 12

Cell and atoms:
```
data_Ba12CdPd6
_chemical_formula_sum 'Ba24 Cd2 Pd12'
_space_group_name_H-M_alt 'I m -3'
_space_group_IT_number 204
_space_group_name_Hall '-I 2 2 3'
_cell_length_a 11.6183
_cell_length_b 11.6183
_cell_length_c 11.6183
_cell_angle_alpha 90.00
_cell_angle_beta 90.00
_cell_angle_gamma 90.00
loop_
_atom_site_label
_atom_site_type_symbol
_atom_site_fract_x
_atom_site_fract_y
_atom_site_fract_z
Ba1 Ba 0.0000 0.3134 0.1819
Cd1 Cd 0.0000 0.0000 0.0000
Pd1 Pd 0.0000 0.1193 0.5000
```